Record 1
This entry pairs a crystal structure of Li4MgNp3N8 with its simulated powder XRD pattern. Radiation: CuKα. Structure: a structure optimized by DFT (PBE).

Peak list (6 most intense, 2θ from 10° to 80°, low angle first)
16.32°, I = 303, (1 0 1)
17.69°, I = 1000, (0 0 3)
31.29°, I = 681, (0 2 1)
32.99°, I = 499, (2 0 2)
39.13°, I = 555, (0 2 4)
57.86°, I = 270, (2 2 3)

Structural model:
Cell: 6.7234 6.7234 15.0392 Å, 90.00 90.00 120.00°
Space group R-3m (No. 166, hexagonal axes)
Symmetry-distinct sites (fractional):
Li 0.0000 0.0000 0.0000 (multiplicity 3)
Li 0.0000 0.5000 0.0000 (multiplicity 9)
Mg 0.0000 0.0000 0.5000 (multiplicity 3)
Np 0.0000 0.5000 0.5000 (multiplicity 9)
N 0.0000 0.0000 0.2382 (multiplicity 6)
N 0.0231 0.5116 0.7642 (multiplicity 18)

---

Record 2
This entry pairs a crystal structure of LiMg2Pa3N6 with its simulated powder XRD pattern. Radiation: CuKα. Structure: a structure optimized by DFT (PBE).

Peak list (6 most intense, 2θ from 10° to 80°, low angle first)
17.15°, I = 1000, (2 0 -1)
29.89°, I = 262, (4 0 1)
30.09°, I = 520, (1 1 1)
31.54°, I = 254, (2 0 2)
31.75°, I = 497, (3 1 0)
37.71°, I = 488, (1 1 -2)

Structural model:
Cell: 14.4885 3.4858 6.5771 Å, 90.00 97.34 90.00°
Space group C2/m (No. 12)
Symmetry-distinct sites (fractional):
Li 0.0000 0.0000 0.0000 (multiplicity 2)
Mg 0.1740 0.5000 0.3458 (multiplicity 4)
Pa 0.0000 0.0000 0.5000 (multiplicity 2)
Pa 0.1605 0.5000 0.8452 (multiplicity 4)
N 0.0003 0.5000 0.2688 (multiplicity 4)
N 0.1657 0.0000 0.5929 (multiplicity 4)
N 0.1791 0.0000 0.0892 (multiplicity 4)

---

Record 3
This entry pairs a crystal structure of NaLi10Mg2 with its simulated powder XRD pattern. Radiation: CuKα. Structure: a structure optimized by DFT (PBE).

Peak list (6 most intense, 2θ from 10° to 80°, low angle first)
12.48°, I = 1000, (0 2 0)
24.89°, I = 215, (1 3 1)
28.05°, I = 340, (0 2 4)
35.23°, I = 729, (2 2 2)
35.74°, I = 591, (0 4 4)
41.77°, I = 220, (2 4 2)

Structural model:
Cell: 5.9119 14.1703 14.2424 Å, 90.00 90.00 90.00°
Space group Fmmm (No. 69)
Symmetry-distinct sites (fractional):
Na 0.0000 0.0000 0.0000 (multiplicity 4)
Li 0.0000 0.1086 0.3926 (multiplicity 16)
Li 0.0000 0.1784 0.1783 (multiplicity 16)
Li 0.2500 0.2500 0.0000 (multiplicity 8)
Mg 0.2500 0.0000 0.2500 (multiplicity 8)

---

Record 4
This entry pairs a crystal structure of NaLi5Mg3 with its simulated powder XRD pattern. Radiation: CuKα. Structure: a structure optimized by DFT (PBE).

Peak list (6 most intense, 2θ from 10° to 80°, low angle first)
23.40°, I = 334, (2 0 0)
25.29°, I = 944, (1 1 1)
35.41°, I = 1000, (3 0 0)
36.70°, I = 849, (1 1 2)
51.92°, I = 246, (2 2 2)
64.42°, I = 237, (4 1 2)

Structural model:
Cell: 8.7813 8.7813 5.8994 Å, 90.00 90.00 120.00°
Space group P6_3/mcm (No. 193)
Symmetry-distinct sites (fractional):
Na 0.0000 0.0000 0.0000 (multiplicity 2)
Li 0.0000 0.3113 0.2500 (multiplicity 6)
Li 0.3333 0.6667 0.0000 (multiplicity 4)
Mg 0.0000 0.3684 0.7500 (multiplicity 6)

---

Record 5
This entry pairs a crystal structure of NaLi4Mg3 with its simulated powder XRD pattern. Radiation: CuKα. Structure: a structure optimized by DFT (PBE).

Peak list (6 most intense, 2θ from 10° to 80°, low angle first)
23.62°, I = 328, (0 0 2)
26.07°, I = 509, (1 1 0)
35.47°, I = 1000, (1 1 2)
37.20°, I = 438, (2 0 0)
44.55°, I = 228, (2 0 2)
65.96°, I = 298, (3 1 2)

Structural model:
Cell: 4.8334 4.8334 7.5328 Å, 90.00 90.00 90.00°
Space group P4/mmm (No. 123)
Symmetry-distinct sites (fractional):
Na 0.0000 0.0000 0.0000 (multiplicity 1)
Li 0.0000 0.5000 0.2617 (multiplicity 4)
Mg 0.0000 0.0000 0.5000 (multiplicity 1)
Mg 0.5000 0.5000 0.0000 (multiplicity 1)
Mg 0.5000 0.5000 0.5000 (multiplicity 1)

---

Record 6
This entry pairs a crystal structure of NaLiMg with its simulated powder XRD pattern. Radiation: CuKα. Structure: a structure optimized by DFT (PBE).

Peak list (6 most intense, 2θ from 10° to 80°, low angle first)
25.84°, I = 859, (0 1 2)
33.20°, I = 571, (0 1 3)
33.86°, I = 1000, (1 1 -1)
36.39°, I = 411, (1 0 2)
36.62°, I = 747, (0 2 0)
52.61°, I = 232, (1 2 2)

Structural model:
Cell: 3.1867 4.9044 9.8157 Å, 90.00 99.05 90.00°
Space group P2_1 (No. 4)
Symmetry-distinct sites (fractional):
Na 0.1979 0.0000 0.3986 (multiplicity 2)
Li 0.0367 0.9997 0.0783 (multiplicity 2)
Mg 0.4059 0.0015 0.8062 (multiplicity 2)

---

Record 7
This entry pairs a crystal structure of NaLi9Mg2 with its simulated powder XRD pattern. Radiation: CuKα. Structure: a structure optimized by DFT (PBE).

Peak list (6 most intense, 2θ from 10° to 80°, low angle first)
17.72°, I = 1000, (1 1 0)
30.95°, I = 241, (3 0 0)
34.42°, I = 645, (1 1 1)
35.89°, I = 634, (2 2 0)
43.12°, I = 344, (3 0 1)
57.31°, I = 268, (4 1 1)

Structural model:
Cell: 10.0080 10.0080 3.0519 Å, 90.00 90.00 120.00°
Space group P6/mmm (No. 191)
Symmetry-distinct sites (fractional):
Na 0.0000 0.0000 0.0000 (multiplicity 1)
Li 0.0000 0.5000 0.0000 (multiplicity 3)
Li 0.1786 0.3571 0.5000 (multiplicity 6)
Mg 0.3333 0.6667 0.0000 (multiplicity 2)

---

Record 8
This entry pairs a crystal structure of NaLiMg6 with its simulated powder XRD pattern. Radiation: CuKα. Structure: a structure optimized by DFT (PBE).

Peak list (6 most intense, 2θ from 10° to 80°, low angle first)
31.67°, I = 252, (0 2 2)
35.16°, I = 244, (2 0 0)
36.34°, I = 1000, (1 0 4)
56.40°, I = 179, (0 4 0)
63.86°, I = 177, (3 0 4)
68.23°, I = 188, (2 4 0)

Structural model:
Cell: 5.1049 6.5237 11.3054 Å, 90.00 90.00 90.00°
Space group Amm2 (No. 38)
Symmetry-distinct sites (fractional):
Na 0.0000 0.0000 0.0000 (multiplicity 2)
Li 0.5000 0.0000 0.1671 (multiplicity 2)
Mg 0.0000 0.0000 0.4965 (multiplicity 2)
Mg 0.0000 0.2442 0.2463 (multiplicity 4)
Mg 0.5000 0.0000 0.6636 (multiplicity 2)
Mg 0.5000 0.2451 0.4099 (multiplicity 4)

---

Record 9
This entry pairs a crystal structure of NaLiMg6O7 with its simulated powder XRD pattern. Radiation: CuKα. Structure: a structure optimized by DFT (PBE).

Peak list (6 most intense, 2θ from 10° to 80°, low angle first)
36.06°, I = 168, (1 1 2)
41.68°, I = 414, (0 0 4)
41.98°, I = 1000, (2 0 0)
60.64°, I = 462, (2 0 4)
60.87°, I = 282, (2 2 0)
76.49°, I = 206, (2 2 4)

Structural model:
Cell: 4.3044 4.3044 8.6686 Å, 90.00 90.00 90.00°
Space group P4mm (No. 99)
Symmetry-distinct sites (fractional):
Na 0.0000 0.0000 0.0000 (multiplicity 1)
Li 0.5000 0.5000 0.9809 (multiplicity 1)
Mg 0.0000 0.0000 0.4954 (multiplicity 1)
Mg 0.0000 0.5000 0.2341 (multiplicity 2)
Mg 0.0000 0.5000 0.7763 (multiplicity 2)
Mg 0.5000 0.5000 0.5218 (multiplicity 1)
O 0.0000 0.0000 0.2600 (multiplicity 1)
O 0.0000 0.0000 0.7310 (multiplicity 1)
O 0.0000 0.5000 0.0116 (multiplicity 2)
O 0.0000 0.5000 0.4740 (multiplicity 2)
O 0.5000 0.5000 0.7481 (multiplicity 1)

---

Record 10
This entry pairs a crystal structure of NaLiMg6O7 with its simulated powder XRD pattern. Radiation: CuKα. Structure: a structure optimized by DFT (PBE).

Peak list (6 most intense, 2θ from 10° to 80°, low angle first)
36.05°, I = 175, (1 1 2)
41.51°, I = 414, (0 0 4)
42.04°, I = 1000, (2 0 0)
60.56°, I = 459, (2 0 4)
60.97°, I = 281, (2 2 0)
76.46°, I = 203, (2 2 4)

Structural model:
Cell: 4.2984 4.2984 8.7020 Å, 90.00 90.00 90.00°
Space group P4mm (No. 99)
Symmetry-distinct sites (fractional):
Na 0.0000 0.0000 0.0000 (multiplicity 1)
Li 0.5000 0.5000 0.0204 (multiplicity 1)
Mg 0.0000 0.0000 0.5254 (multiplicity 1)
Mg 0.0000 0.5000 0.2425 (multiplicity 2)
Mg 0.0000 0.5000 0.7861 (multiplicity 2)
Mg 0.5000 0.5000 0.5028 (multiplicity 1)
O 0.0000 0.0000 0.7470 (multiplicity 1)
O 0.0000 0.5000 0.0219 (multiplicity 2)
O 0.0000 0.5000 0.4780 (multiplicity 2)
O 0.5000 0.5000 0.2616 (multiplicity 1)
O 0.5000 0.5000 0.7432 (multiplicity 1)

---

Record 11
This entry pairs a crystal structure of NaLiMg6O7 with its simulated powder XRD pattern. Radiation: CuKα. Structure: a structure optimized by DFT (PBE).

Peak list (6 most intense, 2θ from 10° to 80°, low angle first)
36.23°, I = 171, (1 1 2)
41.82°, I = 1000, (2 0 0)
42.61°, I = 434, (0 0 4)
60.63°, I = 282, (2 2 0)
61.24°, I = 504, (2 0 4)
76.91°, I = 229, (2 2 4)

Structural model:
Cell: 4.3199 4.3199 8.4875 Å, 90.00 90.00 90.00°
Space group P4mm (No. 99)
Symmetry-distinct sites (fractional):
Na 0.0000 0.0000 0.0000 (multiplicity 1)
Li 0.0000 0.0000 0.4677 (multiplicity 1)
Mg 0.0000 0.5000 0.2459 (multiplicity 2)
Mg 0.0000 0.5000 0.7339 (multiplicity 2)
Mg 0.5000 0.5000 0.4887 (multiplicity 1)
Mg 0.5000 0.5000 0.9837 (multiplicity 1)
O 0.0000 0.0000 0.2509 (multiplicity 1)
O 0.0000 0.5000 0.5032 (multiplicity 2)
O 0.0000 0.5000 0.9643 (multiplicity 2)
O 0.5000 0.5000 0.2370 (multiplicity 1)
O 0.5000 0.5000 0.7340 (multiplicity 1)